Calculated powder XRD pattern of Li7Mn4CoO12 for Cu Ka, from the PBE+U geometry in the Materials Project.
Neutral-atom scattering factors, no anomalous dispersion.

The 6 most intense peaks (10° ≤ 2θ ≤ 90°), sorted by position:
17.90°, 4.956 Å, intensity 100.0; 33.59°, 2.668 Å, intensity 19.2; 36.24°, 2.479 Å, intensity 30.0; 40.22°, 2.242 Å, intensity 38.2; 43.91°, 2.062 Å, intensity 56.6; 61.05°, 1.518 Å, intensity 35.5

Cell lengths 3.045, 3.045, 29.796 Å; angles 93.17, 93.17, 56.15 degrees
Fractional positions:
Li  0.000  0.000  0.000
Li  0.002  0.002  0.252
Li  0.336  0.336  0.581
Li  0.356  0.356  0.079
Li  0.644  0.644  0.921
Li  0.664  0.664  0.419
Li  0.998  0.998  0.748
Mn  0.329  0.329  0.832
Mn  0.331  0.331  0.335
Mn  0.669  0.669  0.665
Mn  0.671  0.671  0.168
Co  0.000  0.000  0.500
O  0.012  0.012  0.133
O  0.024  0.024  0.627
O  0.311  0.311  0.704
O  0.321  0.321  0.207
O  0.326  0.326  0.462
O  0.329  0.329  0.957
O  0.671  0.671  0.043
O  0.674  0.674  0.538
O  0.679  0.679  0.793
O  0.689  0.689  0.296
O  0.976  0.976  0.373
O  0.988  0.988  0.867